Entry 1:
This entry pairs a crystal structure of Li3CuNi3O8 with its simulated XRD peak list. Radiation: Cu Ka. Structure: a PBE+U-relaxed structure.
No peak broadening, texture or thermal motion is included.

Atomic structure:
Cell lengths 5.7768, 5.7768, 14.3674 Å; angles 90.00, 90.00, 120.00 degrees
Space group R-3m (No. 166, hexagonal axes)
Asymmetric unit:
Li: 0.0000 0.5000 0.0000 (multiplicity 9)
Cu: 0.0000 0.0000 0.5000 (multiplicity 3)
Ni: 0.0000 0.5000 0.5000 (multiplicity 9)
O: 0.0000 0.0000 0.2456 (multiplicity 6)
O: 0.0111 0.5055 0.7642 (multiplicity 18)

Largest 10 diffraction maxima, in order of falling intensity, 2θ = 5–70°:
| d/Å | Position (°2θ) | I_rel | hkl |
| --- | --- | --- | --- |
| 4.789 | 18.53 | 100 | 0 0 3 |
| 2.053 | 44.12 | 61 | 0 2 4 |
| 2.464 | 36.46 | 39 | 0 2 1 |
| 1.444 | 64.53 | 17 | 2 2 0 |
| 1.459 | 63.80 | 16 | 2 0 8 |
| 1.587 | 58.14 | 15 | 0 2 7 |
| 1.383 | 67.77 | 14 | 2 2 3 |
| 2.362 | 38.09 | 14 | 2 0 2 |
| 1.887 | 48.23 | 12 | 2 0 5 |
| 2.395 | 37.56 | 6 | 0 0 6 |

Entry 2:
This entry pairs a crystal structure of H2WO5 with its simulated XRD peak list. Radiation: Cu Ka. Structure: a PBE+U-relaxed structure.
No peak broadening, texture or thermal motion is included.

Atomic structure:
Cell lengths 7.560, 3.948, 12.540 Å; angles 90.00, 110.18, 90.00 degrees
Space group P2_1/c (No. 14)
Asymmetric unit:
H: 0.171 0.069 0.356 (multiplicity 4)
H: 0.327 0.697 0.922 (multiplicity 4)
W: 0.316 0.574 0.682 (multiplicity 4)
O: 0.057 0.747 0.138 (multiplicity 4)
O: 0.063 0.119 0.143 (multiplicity 4)
O: 0.292 0.533 0.858 (multiplicity 4)
O: 0.343 0.576 0.549 (multiplicity 4)
O: 0.398 0.071 0.720 (multiplicity 4)

Largest 10 diffraction maxima, in order of falling intensity, 2θ = 5–70°:
| d/Å | Position (°2θ) | I_rel | hkl |
| --- | --- | --- | --- |
| 5.572 | 15.91 | 100 | 1 0 -2 |
| 5.885 | 15.06 | 61 | 0 0 2 |
| 3.170 | 28.15 | 48 | 1 1 1 |
| 2.783 | 32.16 | 34 | 0 1 3 |
| 3.471 | 25.66 | 32 | 1 1 -1 |
| 3.126 | 28.55 | 27 | 1 0 -4 |
| 7.096 | 12.47 | 25 | 1 0 0 |
| 2.729 | 32.82 | 20 | 2 1 -1 |
| 2.365 | 38.04 | 18 | 3 0 0 |
| 3.548 | 25.10 | 15 | 2 0 0 |